# BaPu2NiO8
Simulated X-ray diffraction stick pattern, Cu Kα (λ = 1.5418 Å). Input: a cell relaxed with PBE+U.
Neutral-atom scattering factors, no anomalous dispersion.

Main lines, in order of rising 2θ (10 to 90 degrees two-theta):
2θ (°), d (Å), I/Imax, h k l
20.85, 4.261, 100, 0 1 1
28.51, 3.131, 60, 1 1 0
30.76, 2.907, 43, 1 0 2
35.58, 2.523, 18, 2 0 1
42.43, 2.130, 17, 0 2 2
46.21, 1.965, 28, 1 2 1
49.21, 1.851, 16, 1 1 3
50.49, 1.808, 12, 3 0 0
51.91, 1.761, 23, 2 1 2
59.00, 1.566, 10, 2 2 0

Cell and atoms:
a b c (Å): 6.262 6.262 6.887
angles (deg): 90.00 90.00 120.00
Fractional coordinates of all 12 atoms:
Ba 0.000 0.000 0.000
Pu 0.333 0.667 0.316
Pu 0.667 0.333 0.684
Ni 0.000 0.000 0.500
O 0.150 0.301 0.323
O 0.150 0.850 0.323
O 0.301 0.150 0.677
O 0.333 0.667 0.041
O 0.667 0.333 0.959
O 0.699 0.850 0.323
O 0.850 0.150 0.677
O 0.850 0.699 0.677